# In8Sn2Bi3
Simulated XRD peak list, a wavelength of 1.5418 Å. Input: a structure optimized by DFT (GGA-PBE).
No peak broadening, texture or thermal motion is included.

The 12 most intense peaks (10° ≤ 2θ ≤ 90°), most intense first:
d (Å)  2θ/deg  Rel. int.  h k l
2.672  33.5  100.0  1 5 1
2.647  33.9  94.8  2 4 1
2.770  32.3  63.0  0 0 2
2.954  30.3  52.4  3 1 0
2.021  44.9  37.8  3 1 2
1.515  61.2  30.3  5 5 1
8.104  10.9  26.6  0 2 0
2.373  37.9  24.3  3 3 1
1.349  69.7  21.4  3 9 2
1.580  58.4  20.3  1 5 3
1.575  58.6  19.6  2 4 3
3.938  22.6  16.9  2 2 0

Structure:
```
data_In8Sn2Bi3
_symmetry_space_group_name_H-M 'C m m m'
_symmetry_Int_Tables_number 65
_symmetry_space_group_name_Hall '-C 2 2'
_cell_length_a 9.013
_cell_length_b 16.208
_cell_length_c 5.541
_cell_angle_alpha 90.00
_cell_angle_beta 90.00
_cell_angle_gamma 90.00
loop_
_atom_site_label
_atom_site_fract_x
_atom_site_fract_y
_atom_site_fract_z
In1 0.000 0.111 0.000
In2 0.000 0.315 0.000
In3 0.192 0.385 0.500
Sn1 0.000 0.213 0.500
Bi1 0.000 0.000 0.500
Bi2 0.176 0.500 0.000
```

=====

# K16Na12Tl
Simulated XRD peak list, a wavelength of 1.5418 Å. Input: a structure optimized by DFT (GGA-PBE).
No peak broadening, texture or thermal motion is included.

The 12 most intense peaks (10° ≤ 2θ ≤ 90°), most intense first:
d (Å)  2θ/deg  Rel. int.  h k l
3.393  26.3  100.0  1 5 -2
3.450  25.8  95.6  4 2 -2
3.471  25.7  92.6  3 3 0
3.485  25.6  74.0  4 0 -1
3.424  26.0  72.4  3 3 -3
3.408  26.1  60.7  1 5 1
3.511  25.4  48.6  0 0 3
5.995  14.8  47.5  1 1 -2
6.085  14.6  43.3  1 1 1
3.043  29.4  39.0  2 2 2
2.907  30.8  37.8  3 3 1
5.935  14.9  35.0  2 2 -1

Structure:
```
data_K16Na12Tl
_symmetry_space_group_name_H-M 'C 1 m 1'
_symmetry_Int_Tables_number 8
_symmetry_space_group_name_Hall 'C -2y'
_cell_length_a 14.691
_cell_length_b 20.154
_cell_length_c 12.724
_cell_angle_alpha 90.00
_cell_angle_beta 124.13
_cell_angle_gamma 90.00
loop_
_atom_site_label
_atom_site_fract_x
_atom_site_fract_y
_atom_site_fract_z
K1 0.000 0.000 0.000
K2 0.013 0.000 0.361
K3 0.057 0.354 0.404
K4 0.107 0.500 0.684
K5 0.157 0.159 0.594
K6 0.186 0.178 0.000
K7 0.208 0.500 0.310
K8 0.299 0.294 0.324
K9 0.456 0.109 0.975
K10 0.480 0.191 0.695
Na1 0.007 0.189 0.179
Na2 0.172 0.000 0.788
Na3 0.254 0.408 0.032
Na4 0.272 0.086 0.382
Na5 0.321 0.317 0.832
Na6 0.344 0.000 0.169
Na7 0.406 0.406 0.655
Tl1 0.329 0.000 0.652
```

=====

Q: Which formula does entry 2 have?
A: K16Na12Tl